1.
This entry pairs a crystal structure of MgCrAsO5 with its theoretical XRD peak list. Radiation: Cu Ka. Structure: a cell relaxed with GGA+U.

Structural model:
a = 6.050 Å, b = 7.722 Å, c = 8.496 Å
α = 90.00°, β = 90.00°, γ = 90.00°
Fractional coordinates of all 32 atoms:
Mg: 0.053 0.174 0.315
Mg: 0.447 0.826 0.815
Mg: 0.553 0.326 0.685
Mg: 0.947 0.674 0.185
Cr: 0.243 0.755 0.500
Cr: 0.257 0.245 0.000
Cr: 0.743 0.745 0.500
Cr: 0.757 0.255 0.000
As: 0.018 0.101 0.680
As: 0.482 0.899 0.180
As: 0.518 0.399 0.320
As: 0.982 0.601 0.820
O: 0.000 0.129 0.094
O: 0.000 0.629 0.406
O: 0.010 0.403 0.917
O: 0.070 0.248 0.537
O: 0.228 0.640 0.722
O: 0.246 0.087 0.803
O: 0.254 0.913 0.303
O: 0.272 0.360 0.222
O: 0.430 0.752 0.037
O: 0.490 0.597 0.417
O: 0.500 0.371 0.906
O: 0.500 0.871 0.594
O: 0.510 0.097 0.083
O: 0.570 0.252 0.463
O: 0.728 0.860 0.278
O: 0.746 0.413 0.197
O: 0.754 0.587 0.697
O: 0.772 0.140 0.778
O: 0.930 0.748 0.963
O: 0.990 0.903 0.583

Largest 8 diffraction maxima, by angle, 5° ≤ 2θ ≤ 70°:
two_theta  I/Imax
15.51  50
18.00  81
25.34  48
27.40  100
31.32  48
33.52  73
33.71  50
57.15  48

***

2.
This entry pairs a crystal structure of Mg3Cr3As4O16 with its theoretical XRD peak list. Radiation: Cu Ka. Structure: a cell relaxed with GGA+U.

Structural model:
a = 8.801 Å, b = 5.217 Å, c = 16.195 Å
α = 90.00°, β = 113.11°, γ = 90.00°
Fractional coordinates of all 52 atoms:
Mg: 0.000 0.000 0.000
Mg: 0.000 0.500 0.500
Mg: 0.299 0.037 0.283
Mg: 0.299 0.463 0.783
Mg: 0.701 0.537 0.217
Mg: 0.701 0.963 0.717
Cr: 0.206 0.001 0.878
Cr: 0.206 0.499 0.378
Cr: 0.500 0.000 0.500
Cr: 0.500 0.500 0.000
Cr: 0.794 0.501 0.622
Cr: 0.794 0.999 0.122
As: 0.037 0.011 0.649
As: 0.037 0.489 0.149
As: 0.418 0.002 0.105
As: 0.418 0.498 0.605
As: 0.582 0.502 0.395
As: 0.582 0.998 0.895
As: 0.963 0.511 0.851
As: 0.963 0.989 0.351
O: 0.033 0.682 0.634
O: 0.033 0.818 0.134
O: 0.081 0.183 0.574
O: 0.081 0.317 0.074
O: 0.153 0.597 0.847
O: 0.153 0.903 0.347
O: 0.188 0.102 0.753
O: 0.188 0.398 0.253
O: 0.243 0.549 0.510
O: 0.243 0.951 0.010
O: 0.399 0.582 0.701
O: 0.399 0.918 0.201
O: 0.433 0.208 0.908
O: 0.433 0.292 0.408
O: 0.491 0.701 0.890
O: 0.491 0.799 0.390
O: 0.509 0.201 0.610
O: 0.509 0.299 0.110
O: 0.567 0.708 0.592
O: 0.567 0.792 0.092
O: 0.601 0.082 0.799
O: 0.601 0.418 0.299
O: 0.757 0.049 0.990
O: 0.757 0.451 0.490
O: 0.812 0.602 0.747
O: 0.812 0.898 0.247
O: 0.847 0.097 0.653
O: 0.847 0.403 0.153
O: 0.919 0.683 0.926
O: 0.919 0.817 0.426
O: 0.967 0.182 0.866
O: 0.967 0.318 0.366

Largest 8 diffraction maxima, by angle, 5° ≤ 2θ ≤ 70°:
two_theta  I/Imax
12.60  30
23.90  47
24.05  51
26.64  100
29.92  53
32.55  29
34.38  50
35.46  47

***

3.
This entry pairs a crystal structure of CrAsO4 with its theoretical XRD peak list. Radiation: Cu Ka. Structure: a cell relaxed with GGA+U.

Structural model:
a = 9.298 Å, b = 9.298 Å, c = 9.298 Å
α = 109.02°, β = 85.78°, γ = 138.40°
Fractional coordinates of all 36 atoms:
Cr: 0.000 0.000 0.000
Cr: 0.385 0.000 0.885
Cr: 0.385 0.500 0.385
Cr: 0.500 0.000 0.500
Cr: 0.615 0.000 0.115
Cr: 0.615 0.500 0.615
As: 0.176 0.000 0.676
As: 0.176 0.500 0.176
As: 0.313 0.063 0.250
As: 0.687 0.937 0.750
As: 0.824 0.000 0.324
As: 0.824 0.500 0.824
O: 0.070 0.926 0.144
O: 0.096 0.241 0.428
O: 0.096 0.669 0.855
O: 0.226 0.072 0.883
O: 0.226 0.343 0.154
O: 0.282 0.926 0.356
O: 0.311 0.657 0.383
O: 0.311 0.928 0.654
O: 0.314 0.241 0.645
O: 0.314 0.669 0.072
O: 0.471 0.091 0.120
O: 0.471 0.351 0.380
O: 0.529 0.649 0.620
O: 0.529 0.909 0.880
O: 0.686 0.331 0.928
O: 0.686 0.759 0.355
O: 0.689 0.072 0.346
O: 0.689 0.343 0.617
O: 0.718 0.074 0.644
O: 0.774 0.657 0.846
O: 0.774 0.928 0.117
O: 0.904 0.331 0.145
O: 0.904 0.759 0.572
O: 0.930 0.074 0.856

Largest 8 diffraction maxima, by angle, 5° ≤ 2θ ≤ 70°:
two_theta  I/Imax
15.73  100
16.42  53
23.78  31
28.24  30
31.04  64
31.77  84
33.19  42
39.48  40

***

4.
This entry pairs a crystal structure of CrAsO4 with its theoretical XRD peak list. Radiation: Cu Ka. Structure: a cell relaxed with GGA+U.

Structural model:
a = 9.131 Å, b = 6.426 Å, c = 4.863 Å
α = 90.00°, β = 90.00°, γ = 90.00°
Fractional coordinates of all 24 atoms:
Cr: 0.000 0.000 0.000
Cr: 0.000 0.500 0.000
Cr: 0.500 0.000 0.500
Cr: 0.500 0.500 0.500
As: 0.180 0.250 0.476
As: 0.320 0.750 0.976
As: 0.680 0.250 0.024
As: 0.820 0.750 0.524
O: 0.114 0.250 0.816
O: 0.126 0.025 0.326
O: 0.126 0.475 0.326
O: 0.129 0.750 0.914
O: 0.371 0.250 0.414
O: 0.374 0.525 0.826
O: 0.374 0.975 0.826
O: 0.386 0.750 0.316
O: 0.614 0.250 0.684
O: 0.626 0.025 0.174
O: 0.626 0.475 0.174
O: 0.629 0.750 0.586
O: 0.871 0.250 0.086
O: 0.874 0.525 0.674
O: 0.874 0.975 0.674
O: 0.886 0.750 0.184

Largest 8 diffraction maxima, by angle, 5° ≤ 2θ ≤ 70°:
two_theta  I/Imax
23.91  39
24.95  100
34.12  38
34.77  54
34.88  26
51.19  23
61.43  23
65.25  18

***

5.
This entry pairs a crystal structure of CrAsO5 with its theoretical XRD peak list. Radiation: Cu Ka. Structure: a cell relaxed with GGA+U.

Structural model:
a = 6.534 Å, b = 7.401 Å, c = 7.435 Å
α = 90.00°, β = 90.00°, γ = 90.00°
Fractional coordinates of all 28 atoms:
Cr: 0.051 0.216 0.478
Cr: 0.449 0.784 0.978
Cr: 0.551 0.284 0.522
Cr: 0.949 0.716 0.022
As: 0.244 0.418 0.870
As: 0.256 0.582 0.370
As: 0.744 0.082 0.130
As: 0.756 0.918 0.630
O: 0.035 0.448 0.389
O: 0.046 0.577 0.833
O: 0.198 0.264 0.022
O: 0.199 0.097 0.361
O: 0.221 0.677 0.144
O: 0.279 0.323 0.644
O: 0.301 0.903 0.861
O: 0.302 0.736 0.522
O: 0.454 0.423 0.333
O: 0.465 0.552 0.889
O: 0.535 0.052 0.611
O: 0.546 0.923 0.167
O: 0.698 0.236 0.978
O: 0.699 0.403 0.639
O: 0.721 0.823 0.856
O: 0.779 0.177 0.356
O: 0.801 0.597 0.139
O: 0.802 0.764 0.478
O: 0.954 0.077 0.667
O: 0.965 0.948 0.111

Largest 8 diffraction maxima, by angle, 5° ≤ 2θ ≤ 70°:
two_theta  I/Imax
16.90  31
18.11  100
26.86  68
27.62  62
30.24  40
32.28  59
36.93  26
38.69  57